This entry pairs a crystal structure of Sr2Li3Zn12Ir with its calculated PXRD pattern. Radiation: Cu Ka. Structure: a crystal structure in Alexandria, relaxed with PBE.

Largest 8 diffraction maxima, low angle first, 2θ from 10° to 90°:
d 5.219, I = 91.0, (0 1 2)
d 3.062, I = 100.0, (1 1 3)
d 2.693, I = 96.2, (1 1 6)
d 2.610, I = 75.9, (0 2 4)
d 2.409, I = 52.6, (0 1 11)
d 2.222, I = 57.4, (2 0 8)
d 1.829, I = 47.7, (0 3 3)
d 1.740, I = 59.3, (3 0 6)

Crystal structure
```
data_Sr2Li3Zn12Ir
_chemical_formula_sum 'Sr6 Li9 Zn36 Ir3'
_symmetry_space_group_name_H-M 'R -3 m'
_symmetry_Int_Tables_number 166
_symmetry_space_group_name_Hall '-R 3 2"'
_cell_length_a 6.4473
_cell_length_b 6.4473
_cell_length_c 29.3794
_cell_angle_alpha 90.00
_cell_angle_beta 90.00
_cell_angle_gamma 120.00
loop_
_atom_site_label
_atom_site_type_symbol
_atom_site_fract_x
_atom_site_fract_y
_atom_site_fract_z
Sr1 Sr 0.0000 0.0000 0.1498
Li1 Li 0.0000 0.5000 0.0000
Zn1 Zn 0.0503 0.5251 0.0974
Zn2 Zn 0.0704 0.5352 0.6168
Ir1 Ir 0.0000 0.0000 0.5000
```

=====

This entry pairs a crystal structure of LiTa2Ir with its calculated PXRD pattern. Radiation: Cu Ka. Structure: a crystal structure in Alexandria, relaxed with PBE.

Largest 8 diffraction maxima, low angle first, 2θ from 10° to 90°:
d 4.349, I = 14.4, (0 0 2)
d 3.501, I = 30.6, (1 0 1)
d 2.297, I = 100.0, (1 1 2)
d 2.174, I = 21.3, (0 0 4)
d 1.912, I = 29.1, (2 0 0)
d 1.436, I = 23.1, (2 0 4)
d 1.278, I = 15.7, (1 1 6)
d 1.165, I = 23.8, (3 1 2)

Crystal structure
```
data_LiTa2Ir
_chemical_formula_sum 'Li2 Ta4 Ir2'
_symmetry_space_group_name_H-M 'I -4 m 2'
_symmetry_Int_Tables_number 119
_symmetry_space_group_name_Hall 'I -4 -2'
_cell_length_a 3.825
_cell_length_b 3.825
_cell_length_c 8.697
_cell_angle_alpha 90.00
_cell_angle_beta 90.00
_cell_angle_gamma 90.00
loop_
_atom_site_label
_atom_site_type_symbol
_atom_site_fract_x
_atom_site_fract_y
_atom_site_fract_z
Li1 Li 0.000 0.000 0.000
Ta1 Ta 0.000 0.000 0.500
Ta2 Ta 0.000 0.500 0.750
Ir1 Ir 0.000 0.500 0.250
```